# La3Al2Ag7
Computed powder X-ray diffraction pattern, Cu Ka. Input: DFT lattice parameters and positions (GGA-PBE).
No peak broadening, texture or thermal motion is included.

Principal peaks in the range 2θ = 5–70°, sorted by position:
- 5.89°, intensity 24
- 29.75°, intensity 33
- 31.53°, intensity 38
- 33.91°, intensity 32
- 34.31°, intensity 100
- 38.99°, intensity 24
- 41.68°, intensity 60
- 63.49°, intensity 25

Crystal structure
a b c (Å): 15.323 15.323 15.323
angles (deg): 163.74 163.74 23.07
Positions (direct):
La 0.000 0.000 0.000
La 0.173 0.173 0.000
La 0.827 0.827 0.000
Al 0.368 0.368 0.000
Al 0.632 0.632 0.000
Ag 0.081 0.581 0.500
Ag 0.278 0.278 0.000
Ag 0.419 0.919 0.500
Ag 0.500 0.500 0.000
Ag 0.581 0.081 0.500
Ag 0.722 0.722 0.000
Ag 0.919 0.419 0.500

# LaAl4Ag
Computed powder X-ray diffraction pattern, Cu Ka. Input: DFT lattice parameters and positions (GGA-PBE).
No peak broadening, texture or thermal motion is included.

Principal peaks in the range 2θ = 5–70°, sorted by position:
- 12.06°, intensity 100
- 23.84°, intensity 41
- 32.19°, intensity 43
- 32.68°, intensity 58
- 33.75°, intensity 88
- 34.49°, intensity 58
- 36.35°, intensity 52
- 38.42°, intensity 85

Crystal structure
a b c (Å): 5.605 6.090 8.161
angles (deg): 68.12 76.66 89.95
Positions (direct):
La 0.062 0.347 0.305
La 0.938 0.653 0.695
Al 0.155 0.147 0.706
Al 0.299 0.298 0.933
Al 0.299 0.770 0.933
Al 0.324 0.870 0.258
Al 0.676 0.130 0.742
Al 0.701 0.230 0.067
Al 0.701 0.702 0.067
Al 0.845 0.853 0.294
Ag 0.500 0.000 0.500
Ag 0.500 0.500 0.500